1.
PrEr2Tm4Sc: simulated powder diffraction line list (λ = 1.5418 Å (Cu Kα)), based on the GGA-PBE geometry in Alexandria.
Lines closer than 0.1° are merged.

Main lines, low angle first (5 to 70 degrees two-theta):
10.2 deg, I 3
27.3 deg, I 44
30.9 deg, I 100
41.7 deg, I 85
55.0 deg, I 19
56.4 deg, I 6
62.5 deg, I 25
64.5 deg, I 8
64.5 deg, I 4
65.7 deg, I 21

a b c (Å): 9.334 9.334 6.680
angles (deg): 110.96 110.96 88.77
Sites, in units of the cell vectors:
Pr (0.000, 0.500, 0.000)
Pr (0.500, 0.000, 0.500)
Er (0.000, 0.000, 0.000)
Er (0.000, 0.000, 0.500)
Er (0.000, 0.500, 0.500)
Er (0.500, 0.000, 0.000)
Tm (0.259, 0.262, 0.511)
Tm (0.259, 0.741, 0.501)
Tm (0.259, 0.741, 0.999)
Tm (0.262, 0.259, 0.011)
Tm (0.738, 0.741, 0.989)
Tm (0.741, 0.259, 0.001)
Tm (0.741, 0.259, 0.499)
Tm (0.741, 0.738, 0.489)
Sc (0.500, 0.500, 0.000)
Sc (0.500, 0.500, 0.500)

=====

2.
ErSc3Zn8: simulated powder diffraction line list (λ = 1.5418 Å (Cu Kα)), based on the GGA-PBE geometry in Alexandria.
Lines closer than 0.1° are merged.

Main lines, low angle first (5 to 70 degrees two-theta):
10.3 deg, I 12
19.6 deg, I 11
20.5 deg, I 12
33.8 deg, I 19
33.9 deg, I 19
39.9 deg, I 100
40.0 deg, I 34
41.7 deg, I 40
41.9 deg, I 13
64.6 deg, I 30

a b c (Å): 9.149 9.149 9.149
angles (deg): 33.70 33.70 33.70
Sites, in units of the cell vectors:
Er (0.000, 0.000, 0.000)
Sc (0.125, 0.125, 0.125)
Sc (0.499, 0.499, 0.499)
Sc (0.622, 0.622, 0.622)
Zn (0.062, 0.062, 0.559)
Zn (0.062, 0.559, 0.062)
Zn (0.064, 0.562, 0.562)
Zn (0.312, 0.312, 0.312)
Zn (0.559, 0.062, 0.062)
Zn (0.562, 0.064, 0.562)
Zn (0.562, 0.562, 0.064)
Zn (0.812, 0.812, 0.812)

=====

3.
Y2Tc2Ru: simulated powder diffraction line list (λ = 1.5418 Å (Cu Kα)), based on the GGA-PBE geometry in Alexandria.
Lines closer than 0.1° are merged.

Main lines, low angle first (5 to 70 degrees two-theta):
18.9 deg, I 15
33.2 deg, I 40
35.9 deg, I 100
38.4 deg, I 34
38.5 deg, I 9
43.3 deg, I 32
47.7 deg, I 11
49.8 deg, I 8
59.3 deg, I 27
67.9 deg, I 15

a b c (Å): 6.607 6.607 4.688
angles (deg): 90.00 90.00 90.00
Sites, in units of the cell vectors:
Y (0.180, 0.320, 0.000)
Y (0.320, 0.820, 0.000)
Y (0.680, 0.180, 0.000)
Y (0.820, 0.680, 0.000)
Tc (0.126, 0.626, 0.500)
Tc (0.374, 0.126, 0.500)
Tc (0.626, 0.874, 0.500)
Tc (0.874, 0.374, 0.500)
Ru (0.000, 0.000, 0.500)
Ru (0.500, 0.500, 0.500)